This entry pairs a crystal structure of Rb8Au5Br with its calculated powder XRD pattern. Radiation: Cu Kα (weighted mean of Kα1 and Kα2). Structure: a cell relaxed with PBE.

Atomic structure:
Lattice parameters (Å, degrees): 10.543 10.543 10.525 90.00 90.00 90.00
Space group I-4 (No. 82)
Unique sites:
Rb 0.072 0.322 0.051
Rb 0.073 0.177 0.696
Au 0.000 0.500 0.750
Au 0.127 0.251 0.372
Br 0.000 0.000 0.000

Top 10 peaks for 10° ≤ 2θ ≤ 80°, in order of falling intensity:
2θ/deg	I/Imax	hkl
26.75	100	3 1 0
31.78	67	2 1 3
53.62	36	6 1 1
20.65	36	1 2 1
38.20	28	4 0 2
43.81	23	1 3 4
65.03	20	2 7 1
40.14	19	3 2 3
56.61	16	5 1 4
42.00	12	2 4 2


This entry pairs a crystal structure of Rb3AuBr2 with its calculated powder XRD pattern. Radiation: Cu Kα (weighted mean of Kα1 and Kα2). Structure: a cell relaxed with PBE.

Atomic structure:
Lattice parameters (Å, degrees): 4.976 4.976 21.143 90.00 90.00 90.00
Space group I4/mmm (No. 139)
Unique sites:
Rb 0.000 0.000 0.000
Rb 0.000 0.000 0.332
Au 0.000 0.000 0.500
Br 0.000 0.000 0.167

Top 10 peaks for 10° ≤ 2θ ≤ 80°, in order of falling intensity:
2θ/deg	I/Imax	hkl
25.30	100	1 1 0
36.08	79	2 0 0
58.64	38	3 1 0
44.58	29	2 0 6
64.88	28	3 1 6
51.95	14	2 2 0
18.32	9	1 0 1
76.54	9	4 0 0
21.86	5	1 0 3
27.68	4	1 0 5


This entry pairs a crystal structure of Rb8AuBr6 with its calculated powder XRD pattern. Radiation: Cu Kα (weighted mean of Kα1 and Kα2). Structure: a cell relaxed with PBE.

Atomic structure:
Lattice parameters (Å, degrees): 12.6301 12.6301 5.0985 90.00 90.00 120.00
Space group P-3 (No. 147)
Unique sites:
Rb 0.0360 0.3215 0.2412
Rb 0.3333 0.6667 0.7538
Au 0.0000 0.0000 0.0000
Br 0.1295 0.6555 0.2563

Top 10 peaks for 10° ≤ 2θ ≤ 80°, in order of falling intensity:
2θ/deg	I/Imax	hkl
27.78	100	3 -1 1
33.38	63	2 2 1
24.41	62	3 0 0
23.86	46	0 2 1
29.44	43	1 3 0
40.05	31	3 2 1
19.21	28	0 1 1
22.41	26	2 -1 1
21.49	21	2 1 0
62.13	21	3 5 1